This entry pairs a crystal structure of LaNi4P2 with its computed X-ray diffraction stick pattern. Radiation: a wavelength of 1.5418 Å. Structure: a crystal structure in Alexandria, relaxed with GGA-PBE.
Intensities are scaled so that the largest is 100.

Top 6 peaks for 2θ = 5–70°, low angle first:
hkl 2 1 1, 2θ = 36.98°, rel. 100.0
hkl 3 1 0, 2θ = 38.86°, rel. 52.6
hkl 2 2 1, 2θ = 42.91°, rel. 31.0
hkl 3 1 1, 2θ = 46.52°, rel. 29.0
hkl 3 1 2, 2θ = 65.38°, rel. 21.6
hkl 5 0 1, 2θ = 69.14°, rel. 24.7

Unit cell a=7.3278 b=7.3278 c=3.6237 alpha=90.00 beta=90.00 gamma=90.00
Positions (direct):
La 0.0000 0.0000 0.0000
La 0.5000 0.5000 0.5000
Ni 0.0877 0.3413 0.5000
Ni 0.1587 0.5877 0.0000
Ni 0.3413 0.0877 0.5000
Ni 0.4123 0.8413 0.0000
Ni 0.5877 0.1587 0.0000
Ni 0.6587 0.9123 0.5000
Ni 0.8413 0.4123 0.0000
Ni 0.9123 0.6587 0.5000
P 0.2216 0.7784 0.5000
P 0.2784 0.2784 0.0000
P 0.7216 0.7216 0.0000
P 0.7784 0.2216 0.5000



This entry pairs a crystal structure of La2Ni12P5 with its computed X-ray diffraction stick pattern. Radiation: a wavelength of 1.5418 Å. Structure: a crystal structure in Alexandria, relaxed with GGA-PBE.
Intensities are scaled so that the largest is 100.

Top 6 peaks for 2θ = 5–70°, low angle first:
hkl 1 0 4, 2θ = 32.27°, rel. 33.2
hkl 3 1 0, 2θ = 35.48°, rel. 81.2
hkl 2 1 -4, 2θ = 37.53°, rel. 93.0
hkl 0 1 4, 2θ = 37.64°, rel. 100.0
hkl 4 1 0, 2θ = 42.47°, rel. 77.8
hkl 0 2 0, 2θ = 49.34°, rel. 85.4

Unit cell a=10.9520 b=3.6940 c=13.1824 alpha=90.00 beta=108.00 gamma=90.00
Positions (direct):
La 0.2208 0.2500 0.1836
La 0.2527 0.2500 0.6877
La 0.7473 0.7500 0.3123
La 0.7792 0.7500 0.8164
Ni 0.0588 0.7500 0.2961
Ni 0.0783 0.7500 0.9903
Ni 0.0812 0.7500 0.4906
Ni 0.0961 0.7500 0.8053
Ni 0.2007 0.2500 0.4183
Ni 0.2139 0.2500 0.9388
Ni 0.3434 0.7500 0.0623
Ni 0.3443 0.7500 0.3647
Ni 0.4277 0.2500 0.5139
Ni 0.4347 0.2500 0.9481
Ni 0.4885 0.7500 0.6506
Ni 0.4933 0.7500 0.8407
Ni 0.5067 0.2500 0.1593
Ni 0.5115 0.2500 0.3494
Ni 0.5653 0.7500 0.0519
Ni 0.5723 0.7500 0.4861
Ni 0.6557 0.2500 0.6353
Ni 0.6566 0.2500 0.9377
Ni 0.7861 0.7500 0.0612
Ni 0.7993 0.7500 0.5817
Ni 0.9039 0.2500 0.1947
Ni 0.9188 0.2500 0.5094
Ni 0.9217 0.2500 0.0097
Ni 0.9412 0.2500 0.7039
P 0.0085 0.2500 0.8792
P 0.0081 0.7500 0.6289
P 0.2996 0.7500 0.5153
P 0.3122 0.7500 0.8891
P 0.4522 0.7500 0.2411
P 0.5478 0.2500 0.7589
P 0.6878 0.2500 0.1109
P 0.7004 0.2500 0.4847
P 0.9919 0.2500 0.3711
P 0.9915 0.7500 0.1208